Starting from a cell relaxed with PBE, the powder X-ray diffraction pattern of Sr4Ti5Si4O22 was computed for copper Kα.

Peak list (12 most intense, 5 to 70 degrees two-theta, by angle)
- 2θ 8.10, rel. 17, hkl 0 0 1
- 2θ 24.49, rel. 31, hkl 0 0 3
- 2θ 27.69, rel. 19, hkl 4 0 0
- 2θ 28.40, rel. 26, hkl 4 0 -3
- 2θ 29.32, rel. 77, hkl 3 1 -3
- 2θ 29.79, rel. 100, hkl 3 1 1
- 2θ 31.50, rel. 33, hkl 0 2 0
- 2θ 32.80, rel. 35, hkl 0 0 4
- 2θ 35.65, rel. 19, hkl 0 2 2
- 2θ 40.88, rel. 25, hkl 4 2 -1
- 2θ 41.04, rel. 28, hkl 4 2 -2
- 2θ 46.11, rel. 28, hkl 0 2 4

```
data_Sr4Ti5Si4O22
_chemical_formula_sum 'Sr8 Ti10 Si8 O44'
_cell_length_a 14.155
_cell_length_b 5.681
_cell_length_c 11.996
_cell_angle_alpha 90.00
_cell_angle_beta 114.43
_cell_angle_gamma 90.00
_symmetry_space_group_name_H-M 'C 1 2/m 1'
_symmetry_Int_Tables_number 12
loop_
_symmetry_equiv_pos_as_xyz
'x,y,z'
'-x,-y,-z'
'-x,y,-z'
'x,-y,z'
'x+1/2,y+1/2,z'
'-x+1/2,-y+1/2,-z'
'-x+1/2,y+1/2,-z'
'x+1/2,-y+1/2,z'
loop_
_atom_site_label
_atom_site_type_symbol
_atom_site_fract_x
_atom_site_fract_y
_atom_site_fract_z
Sr1 Sr 0.046 0.000 0.241
Sr2 Sr 0.235 0.000 0.767
Ti1 Ti 0.000 0.242 0.500
Ti2 Ti 0.000 0.500 0.000
Ti3 Ti 0.225 0.500 0.499
Si1 Si 0.095 0.500 0.771
Si2 Si 0.157 0.000 0.047
O1 O 0.032 0.500 0.858
O2 O 0.064 0.265 0.682
O3 O 0.091 0.000 0.499
O4 O 0.095 0.500 0.500
O5 O 0.105 0.240 0.083
O6 O 0.145 0.000 0.909
O7 O 0.208 0.250 0.382
O8 O 0.222 0.500 0.845
```

=====

Starting from a cell relaxed with PBE, the powder X-ray diffraction pattern of TbPr2Ho4Er was computed for copper Kα.

Peak list (12 most intense, 5 to 70 degrees two-theta, by angle)
- 2θ 26.89, rel. 45, hkl 0 4 0
- 2θ 30.25, rel. 100, hkl 4 0 0
- 2θ 40.89, rel. 29, hkl 4 4 0
- 2θ 40.92, rel. 59, hkl 0 4 2
- 2θ 53.72, rel. 13, hkl 4 0 2
- 2θ 53.80, rel. 7, hkl 4 0 -4
- 2θ 55.41, rel. 6, hkl 0 8 0
- 2θ 61.10, rel. 27, hkl 4 4 -4
- 2θ 62.86, rel. 4, hkl 8 0 0
- 2θ 62.95, rel. 8, hkl 0 0 4
- 2θ 64.44, rel. 23, hkl 4 8 0
- 2θ 69.69, rel. 18, hkl 0 4 4

```
data_TbPr2Ho4Er
_chemical_formula_sum 'Tb4 Pr8 Ho16 Er4'
_cell_length_a 13.650
_cell_length_b 13.265
_cell_length_c 6.816
_cell_angle_alpha 90.00
_cell_angle_beta 119.96
_cell_angle_gamma 90.00
_symmetry_space_group_name_H-M 'C 1 2/c 1'
_symmetry_Int_Tables_number 15
loop_
_symmetry_equiv_pos_as_xyz
'x,y,z'
'-x,-y,-z'
'-x,y,-z+1/2'
'x,-y,z+1/2'
'x+1/2,y+1/2,z'
'-x+1/2,-y+1/2,-z'
'-x+1/2,y+1/2,-z+1/2'
'x+1/2,-y+1/2,z+1/2'
loop_
_atom_site_label
_atom_site_type_symbol
_atom_site_fract_x
_atom_site_fract_y
_atom_site_fract_z
Tb1 Tb 0.000 0.000 0.000
Pr1 Pr 0.000 0.500 0.000
Pr2 Pr 0.250 0.250 0.000
Ho1 Ho 0.001 0.247 0.499
Ho2 Ho 0.247 0.003 0.497
Er1 Er 0.250 0.250 0.500
```

=====

Starting from a cell relaxed with PBE, the powder X-ray diffraction pattern of Tb4Dy4Al was computed for copper Kα.

Peak list (12 most intense, 5 to 70 degrees two-theta, by angle)
- 2θ 29.29, rel. 32, hkl 4 0 0
- 2θ 31.09, rel. 28, hkl 3 3 0
- 2θ 32.84, rel. 100, hkl 3 0 1
- 2θ 37.57, rel. 6, hkl 1 5 0
- 2θ 39.08, rel. 9, hkl 4 1 1
- 2θ 44.55, rel. 15, hkl 6 0 0
- 2θ 49.63, rel. 8, hkl 0 0 2
- 2θ 54.21, rel. 16, hkl 5 4 1
- 2θ 57.50, rel. 6, hkl 3 7 0
- 2θ 58.62, rel. 12, hkl 7 0 1
- 2θ 59.72, rel. 9, hkl 3 3 2
- 2θ 60.74, rel. 22, hkl 2 7 1

```
data_Tb4Dy4Al
_chemical_formula_sum 'Tb8 Dy8 Al2'
_cell_length_a 12.206
_cell_length_b 12.206
_cell_length_c 3.674
_cell_angle_alpha 90.00
_cell_angle_beta 90.00
_cell_angle_gamma 90.00
_symmetry_space_group_name_H-M 'I 4/m'
_symmetry_Int_Tables_number 87
_symmetry_space_group_name_Hall '-I 4'
loop_
_atom_site_label
_atom_site_type_symbol
_atom_site_fract_x
_atom_site_fract_y
_atom_site_fract_z
Tb1 Tb 0.129 0.165 0.000
Dy1 Dy 0.050 0.660 0.500
Al1 Al 0.000 0.000 0.500
```

=====

Starting from a cell relaxed with PBE, the powder X-ray diffraction pattern of PrPuPSe was computed for copper Kα.

Peak list (12 most intense, 5 to 70 degrees two-theta, by angle)
- 2θ 13.00, rel. 10, hkl 0 0 3
- 2θ 25.13, rel. 8, hkl 1 0 1
- 2θ 26.24, rel. 56, hkl 0 1 2
- 2θ 30.38, rel. 100, hkl 1 0 4
- 2θ 43.45, rel. 36, hkl 0 1 8
- 2θ 43.56, rel. 38, hkl 1 1 0
- 2θ 51.50, rel. 20, hkl 1 1 6
- 2θ 51.58, rel. 7, hkl 2 0 2
- 2θ 53.84, rel. 6, hkl 0 0 12
- 2θ 54.04, rel. 20, hkl 0 2 4
- 2θ 63.22, rel. 12, hkl 2 0 8
- 2θ 69.75, rel. 6, hkl 1 2 2

```
data_PrPuPSe
_chemical_formula_sum 'Pr3 Pu3 P3 Se3'
_cell_length_a 4.1552
_cell_length_b 4.1552
_cell_length_c 20.4316
_cell_angle_alpha 90.00
_cell_angle_beta 90.00
_cell_angle_gamma 120.00
_symmetry_space_group_name_H-M 'R 3 m'
_symmetry_Int_Tables_number 160
_symmetry_space_group_name_Hall 'R 3 -2"'
loop_
_atom_site_label
_atom_site_type_symbol
_atom_site_fract_x
_atom_site_fract_y
_atom_site_fract_z
Pr1 Pr 0.0000 0.0000 0.0000
Pu1 Pu 0.0000 0.0000 0.5099
P1 P 0.0000 0.0000 0.2508
Se1 Se 0.0000 0.0000 0.7591
```

=====

Starting from a cell relaxed with PBE, the powder X-ray diffraction pattern of La2PmSmPt2 was computed for copper Kα.

Peak list (12 most intense, 5 to 70 degrees two-theta, by angle)
- 2θ 21.82, rel. 31, hkl 1 1 1
- 2θ 25.41, rel. 35, hkl 0 2 0
- 2θ 28.36, rel. 81, hkl 2 2 0
- 2θ 30.86, rel. 56, hkl 3 1 1
- 2θ 35.88, rel. 66, hkl 4 2 0
- 2θ 35.95, rel. 22, hkl 6 0 -2
- 2θ 36.24, rel. 100, hkl 2 2 -2
- 2θ 42.10, rel. 46, hkl 7 1 -1
- 2θ 48.30, rel. 24, hkl 3 3 1
- 2θ 52.18, rel. 35, hkl 0 4 0
- 2θ 56.68, rel. 19, hkl 5 3 1
- 2θ 56.79, rel. 19, hkl 7 3 -1

```
data_La2PmSmPt2
_chemical_formula_sum 'La8 Pm4 Sm4 Pt8'
_cell_length_a 15.894
_cell_length_b 7.011
_cell_length_c 7.011
_cell_angle_alpha 90.00
_cell_angle_beta 116.01
_cell_angle_gamma 90.00
_symmetry_space_group_name_H-M 'C 1 2/m 1'
_symmetry_Int_Tables_number 12
loop_
_symmetry_equiv_pos_as_xyz
'x,y,z'
'-x,-y,-z'
'-x,y,-z'
'x,-y,z'
'x+1/2,y+1/2,z'
'-x+1/2,-y+1/2,-z'
'-x+1/2,y+1/2,-z'
'x+1/2,-y+1/2,z'
loop_
_atom_site_label
_atom_site_type_symbol
_atom_site_fract_x
_atom_site_fract_y
_atom_site_fract_z
La1 La 0.193 0.000 0.421
La2 La 0.193 0.500 0.965
Pm1 Pm 0.000 0.250 0.500
Sm1 Sm 0.000 0.250 0.000
Pt1 Pt 0.111 0.000 0.867
Pt2 Pt 0.111 0.500 0.352
```

=====

Starting from a cell relaxed with PBE, the powder X-ray diffraction pattern of Li2InAg4 was computed for copper Kα.

Peak list (12 most intense, 5 to 70 degrees two-theta, by angle)
- 2θ 18.20, rel. 44, hkl 0 2 0
- 2θ 25.85, rel. 61, hkl 0 2 2
- 2θ 32.92, rel. 79, hkl 2 0 0
- 2θ 33.41, rel. 97, hkl 1 3 1
- 2θ 36.81, rel. 38, hkl 0 0 4
- 2θ 36.95, rel. 37, hkl 0 4 0
- 2θ 37.87, rel. 18, hkl 2 2 0
- 2θ 42.33, rel. 37, hkl 2 2 2
- 2θ 42.72, rel. 100, hkl 1 3 3
- 2θ 50.21, rel. 27, hkl 2 0 4
- 2θ 50.32, rel. 27, hkl 2 4 0
- 2θ 65.57, rel. 26, hkl 3 3 3

```
data_Li2InAg4
_chemical_formula_sum 'Li8 In4 Ag16'
_cell_length_a 5.441
_cell_length_b 9.731
_cell_length_c 9.766
_cell_angle_alpha 90.00
_cell_angle_beta 90.00
_cell_angle_gamma 90.00
_symmetry_space_group_name_H-M 'F m m m'
_symmetry_Int_Tables_number 69
_symmetry_space_group_name_Hall '-F 2 2'
loop_
_atom_site_label
_atom_site_type_symbol
_atom_site_fract_x
_atom_site_fract_y
_atom_site_fract_z
Li1 Li 0.250 0.250 0.250
In1 In 0.000 0.000 0.000
Ag1 Ag 0.000 0.000 0.294
Ag2 Ag 0.000 0.205 0.500
```

=====

Starting from a cell relaxed with PBE, the powder X-ray diffraction pattern of Pm2Ho5Fe2 was computed for copper Kα.

Peak list (12 most intense, 5 to 70 degrees two-theta, by angle)
- 2θ 8.83, rel. 16, hkl 2 0 0
- 2θ 28.68, rel. 25, hkl 5 1 1
- 2θ 28.91, rel. 15, hkl 1 1 2
- 2θ 31.19, rel. 100, hkl 4 2 0
- 2θ 33.76, rel. 26, hkl 4 2 1
- 2θ 35.87, rel. 18, hkl 8 0 0
- 2θ 36.32, rel. 27, hkl 0 2 2
- 2θ 36.46, rel. 28, hkl 5 1 2
- 2θ 41.00, rel. 15, hkl 1 3 1
- 2θ 41.10, rel. 14, hkl 1 1 3
- 2θ 58.86, rel. 25, hkl 9 3 1
- 2θ 60.74, rel. 18, hkl 5 3 3

```
data_Pm2Ho5Fe2
_chemical_formula_sum 'Pm8 Ho20 Fe8'
_cell_length_a 20.027
_cell_length_b 7.006
_cell_length_c 6.985
_cell_angle_alpha 90.00
_cell_angle_beta 90.00
_cell_angle_gamma 90.00
_symmetry_space_group_name_H-M 'C m c e'
_symmetry_Int_Tables_number 64
_symmetry_space_group_name_Hall '-C 2ac 2'
loop_
_atom_site_label
_atom_site_type_symbol
_atom_site_fract_x
_atom_site_fract_y
_atom_site_fract_z
Pm1 Pm 0.232 0.000 0.000
Ho1 Ho 0.000 0.000 0.000
Ho2 Ho 0.106 0.181 0.322
Fe1 Fe 0.000 0.110 0.607
```

=====

Starting from a cell relaxed with PBE, the powder X-ray diffraction pattern of BeAlCd2 was computed for copper Kα.

Peak list (12 most intense, 5 to 70 degrees two-theta, by angle)
- 2θ 22.21, rel. 51, hkl 0 0 2
- 2θ 30.06, rel. 62, hkl 1 0 0
- 2θ 32.12, rel. 14, hkl 1 0 1
- 2θ 33.59, rel. 16, hkl 0 0 3
- 2θ 37.69, rel. 100, hkl 1 0 2
- 2θ 43.03, rel. 41, hkl 1 1 0
- 2θ 45.69, rel. 15, hkl 1 0 3
- 2θ 48.95, rel. 24, hkl 1 1 2
- 2θ 55.67, rel. 14, hkl 1 1 3
- 2θ 62.49, rel. 13, hkl 2 0 0
- 2θ 64.27, rel. 11, hkl 1 1 4
- 2θ 66.32, rel. 16, hkl 1 0 5

```
data_BeAlCd2
_chemical_formula_sum 'Be1 Al1 Cd2'
_cell_length_a 2.973
_cell_length_b 2.973
_cell_length_c 8.005
_cell_angle_alpha 90.00
_cell_angle_beta 90.00
_cell_angle_gamma 90.00
_symmetry_space_group_name_H-M 'P 4/m m m'
_symmetry_Int_Tables_number 123
_symmetry_space_group_name_Hall '-P 4 2'
loop_
_atom_site_label
_atom_site_type_symbol
_atom_site_fract_x
_atom_site_fract_y
_atom_site_fract_z
Be1 Be 0.000 0.000 0.000
Al1 Al 0.000 0.000 0.500
Cd1 Cd 0.500 0.500 0.214
```

=====

Starting from a cell relaxed with PBE, the powder X-ray diffraction pattern of Li5Cd2SnHg2 was computed for copper Kα.

Peak list (12 most intense, 5 to 70 degrees two-theta, by angle)
- 2θ 11.78, rel. 21, hkl 1 1 0
- 2θ 18.68, rel. 17, hkl 2 1 0
- 2θ 24.63, rel. 77, hkl 0 0 1
- 2θ 26.54, rel. 100, hkl 3 1 0
- 2θ 33.76, rel. 25, hkl 4 0 0
- 2θ 36.52, rel. 100, hkl 3 1 1
- 2θ 42.23, rel. 24, hkl 4 0 1
- 2θ 44.00, rel. 19, hkl 3 3 1
- 2θ 48.49, rel. 18, hkl 4 4 0
- 2θ 50.53, rel. 20, hkl 0 0 2
- 2θ 55.12, rel. 23, hkl 4 4 1
- 2θ 57.97, rel. 37, hkl 6 0 1

```
data_Li5Cd2SnHg2
_chemical_formula_sum 'Li10 Cd4 Sn2 Hg4'
_cell_length_a 10.620
_cell_length_b 10.620
_cell_length_c 3.615
_cell_angle_alpha 90.00
_cell_angle_beta 90.00
_cell_angle_gamma 90.00
_symmetry_space_group_name_H-M 'P 4/m b m'
_symmetry_Int_Tables_number 127
_symmetry_space_group_name_Hall '-P 4 2ab'
loop_
_atom_site_label
_atom_site_type_symbol
_atom_site_fract_x
_atom_site_fract_y
_atom_site_fract_z
Li1 Li 0.000 0.500 0.000
Li2 Li 0.116 0.170 0.000
Cd1 Cd 0.157 0.657 0.500
Sn1 Sn 0.000 0.000 0.500
Hg1 Hg 0.136 0.364 0.500
```

=====

Starting from a cell relaxed with PBE, the powder X-ray diffraction pattern of Zr2InC was computed for copper Kα.

Peak list (10 most intense, 5 to 70 degrees two-theta, by angle)
- 2θ 23.50, rel. 1, hkl 0 0 4
- 2θ 30.60, rel. 18, hkl 1 0 0
- 2θ 31.18, rel. 1, hkl 1 0 1
- 2θ 32.86, rel. 1, hkl 1 0 2
- 2θ 35.51, rel. 100, hkl 0 0 6
- 2θ 47.62, rel. 13, hkl 1 0 6
- 2θ 54.39, rel. 17, hkl 1 1 0
- 2θ 63.70, rel. 2, hkl 2 0 0
- 2θ 63.85, rel. 14, hkl 1 0 9
- 2θ 66.67, rel. 28, hkl 1 1 6

```
data_Zr2InC
_chemical_formula_sum 'Zr4 In2 C2'
_cell_length_a 3.3739
_cell_length_b 3.3739
_cell_length_c 15.1402
_cell_angle_alpha 90.00
_cell_angle_beta 90.00
_cell_angle_gamma 120.00
_symmetry_space_group_name_H-M 'P 63/m m c'
_symmetry_Int_Tables_number 194
_symmetry_space_group_name_Hall '-P 6c 2c'
loop_
_atom_site_label
_atom_site_type_symbol
_atom_site_fract_x
_atom_site_fract_y
_atom_site_fract_z
Zr1 Zr 0.3333 0.6667 0.0819
In1 In 0.3333 0.6667 0.7500
C1 C 0.0000 0.0000 0.0000
```

=====

Starting from a cell relaxed with PBE, the powder X-ray diffraction pattern of Sm5Y5Tm was computed for copper Kα.

Peak list (12 most intense, 5 to 70 degrees two-theta, by angle)
- 2θ 7.71, rel. 33, hkl 0 0 1
- 2θ 28.76, rel. 100, hkl 1 0 3
- 2θ 29.11, rel. 84, hkl 1 1 0
- 2θ 30.16, rel. 42, hkl 1 1 1
- 2θ 33.12, rel. 29, hkl 1 1 2
- 2θ 34.66, rel. 34, hkl 2 0 1
- 2θ 35.57, rel. 31, hkl 1 0 4
- 2θ 37.30, rel. 60, hkl 2 0 2
- 2θ 37.59, rel. 32, hkl 1 1 3
- 2θ 46.60, rel. 31, hkl 2 0 4
- 2θ 51.39, rel. 37, hkl 2 1 3
- 2θ 60.35, rel. 33, hkl 2 2 0

```
data_Sm5Y5Tm
_chemical_formula_sum 'Sm5 Y5 Tm1'
_cell_length_a 6.1351
_cell_length_b 6.1351
_cell_length_c 11.4728
_cell_angle_alpha 90.00
_cell_angle_beta 90.00
_cell_angle_gamma 120.00
_symmetry_space_group_name_H-M 'P -6 m 2'
_symmetry_Int_Tables_number 187
_symmetry_space_group_name_Hall 'P -6 2'
loop_
_atom_site_label
_atom_site_type_symbol
_atom_site_fract_x
_atom_site_fract_y
_atom_site_fract_z
Sm1 Sm 0.0000 0.0000 0.2364
Sm2 Sm 0.3398 0.1699 0.0000
Y1 Y 0.0000 0.0000 0.5000
Y2 Y 0.3333 0.6667 0.1835
Y3 Y 0.6667 0.3333 0.3409
Tm1 Tm 0.3333 0.6667 0.5000
```

=====

Starting from a cell relaxed with PBE, the powder X-ray diffraction pattern of Tb12Ho7Pu was computed for copper Kα.

Peak list (12 most intense, 5 to 70 degrees two-theta, by angle)
- 2θ 15.68, rel. 16, hkl 2 0 0
- 2θ 22.25, rel. 25, hkl 2 2 0
- 2θ 27.33, rel. 70, hkl 2 2 2
- 2θ 31.67, rel. 100, hkl 4 0 0
- 2θ 35.52, rel. 9, hkl 4 2 0
- 2θ 39.04, rel. 12, hkl 4 2 2
- 2θ 45.39, rel. 74, hkl 4 4 0
- 2θ 51.11, rel. 6, hkl 6 2 0
- 2θ 53.80, rel. 33, hkl 6 2 2
- 2θ 56.40, rel. 26, hkl 4 4 4
- 2θ 61.38, rel. 6, hkl 6 4 2
- 2θ 66.14, rel. 12, hkl 8 0 0

```
data_Tb12Ho7Pu
_chemical_formula_sum 'Tb24 Ho14 Pu2'
_cell_length_a 11.302
_cell_length_b 11.302
_cell_length_c 11.302
_cell_angle_alpha 90.00
_cell_angle_beta 90.00
_cell_angle_gamma 90.00
_symmetry_space_group_name_H-M 'I m -3 m'
_symmetry_Int_Tables_number 229
_symmetry_space_group_name_Hall '-I 4 2 3'
loop_
_atom_site_label
_atom_site_type_symbol
_atom_site_fract_x
_atom_site_fract_y
_atom_site_fract_z
Tb1 Tb 0.000 0.251 0.251
Ho1 Ho 0.000 0.000 0.500
Ho2 Ho 0.250 0.250 0.250
Pu1 Pu 0.000 0.000 0.000
```

=====

Starting from a cell relaxed with PBE, the powder X-ray diffraction pattern of Sm2TmS2O2 was computed for copper Kα.

Peak list (12 most intense, 5 to 70 degrees two-theta, by angle)
- 2θ 11.93, rel. 25, hkl 0 0 2
- 2θ 27.81, rel. 100, hkl 1 0 3
- 2θ 29.99, rel. 88, hkl 1 1 0
- 2θ 36.33, rel. 13, hkl 0 0 6
- 2θ 37.05, rel. 55, hkl 1 0 5
- 2θ 42.92, rel. 42, hkl 2 0 0
- 2θ 47.80, rel. 16, hkl 1 1 6
- 2θ 51.92, rel. 37, hkl 2 1 3
- 2θ 57.46, rel. 13, hkl 2 0 6
- 2θ 57.97, rel. 30, hkl 2 1 5
- 2θ 58.63, rel. 14, hkl 1 1 8
- 2θ 62.32, rel. 14, hkl 2 2 0

```
data_Sm2TmS2O2
_chemical_formula_sum 'Sm4 Tm2 S4 O4'
_cell_length_a 4.214
_cell_length_b 4.214
_cell_length_c 14.837
_cell_angle_alpha 90.00
_cell_angle_beta 90.00
_cell_angle_gamma 90.00
_symmetry_space_group_name_H-M 'I 4/m m m'
_symmetry_Int_Tables_number 139
_symmetry_space_group_name_Hall '-I 4 2'
loop_
_atom_site_label
_atom_site_type_symbol
_atom_site_fract_x
_atom_site_fract_y
_atom_site_fract_z
Sm1 Sm 0.000 0.000 0.133
Tm1 Tm 0.000 0.000 0.500
S1 S 0.000 0.000 0.321
O1 O 0.000 0.500 0.000
```